This entry pairs a crystal structure of BC with its simulated powder XRD pattern. Radiation: Cu Kα X-rays. Structure: a DFT-relaxed cell (PBE, the Materials Project).
Kinematic intensities with the Lorentz-polarization factor, no thermal factor.

Principal peaks in the range 5° ≤ 2θ ≤ 70°, in order of falling intensity:
- 2θ 12.9, 6.885 Å, intensity 100.0, (0 0 1)
- 2θ 25.9, 3.443 Å, intensity 14.4, (0 0 2)
- 2θ 41.0, 2.203 Å, intensity 4.5, (1 0 1)
- 2θ 39.3, 2.295 Å, intensity 3.3, (0 0 3)
- 2θ 38.7, 2.325 Å, intensity 2.8, (1 0 0)
- 2θ 47.2, 1.927 Å, intensity 2.6, (1 0 2)
- 2θ 56.3, 1.633 Å, intensity 1.3, (1 0 3)
- 2θ 53.2, 1.721 Å, intensity 1.0, (0 0 4)
- 2θ 67.7, 1.383 Å, intensity 0.7, (1 0 4)

Crystal structure
abc: 2.6848 2.6848 6.8852
angles: 90.00 90.00 120.00
Space group P-6m2 (No. 187)
Asymmetric unit:
B: 0.0000 0.0000 0.0000 (multiplicity 1)
C: 0.3333 0.6667 0.0000 (multiplicity 1)



This entry pairs a crystal structure of BC with its simulated powder XRD pattern. Radiation: Cu Kα X-rays. Structure: a DFT-relaxed cell (PBE, the Materials Project).
Kinematic intensities with the Lorentz-polarization factor, no thermal factor.

Principal peaks in the range 5° ≤ 2θ ≤ 70°, in order of falling intensity:
- 2θ 44.8, 2.022 Å, intensity 100.0, (1 0 1)
- 2θ 40.2, 2.244 Å, intensity 99.2, (1 0 0)
- 2θ 38.7, 2.329 Å, intensity 42.6, (0 0 2)
- 2θ 57.0, 1.616 Å, intensity 14.1, (1 0 2)

Crystal structure
abc: 2.5917 2.5917 4.6575
angles: 90.00 90.00 120.00
Space group P6_3mc (No. 186)
Asymmetric unit:
B: 0.3333 0.6667 0.0000 (multiplicity 2)
C: 0.3333 0.6667 0.3360 (multiplicity 2)



This entry pairs a crystal structure of BC7 with its simulated powder XRD pattern. Radiation: Cu Kα X-rays. Structure: a DFT-relaxed cell (PBE, the Materials Project).
Kinematic intensities with the Lorentz-polarization factor, no thermal factor.

Principal peaks in the range 5° ≤ 2θ ≤ 70°, in order of falling intensity:
- 2θ 44.9, 2.019 Å, intensity 100.0, (0 1 5)
- 2θ 41.7, 2.166 Å, intensity 71.1, (0 1 2)
- 2θ 42.5, 2.129 Å, intensity 64.0, (0 0 12)
- 2θ 10.4, 8.517 Å, intensity 24.3, (0 0 3)
- 2θ 41.2, 2.189 Å, intensity 23.1, (1 0 1)
- 2θ 43.6, 2.078 Å, intensity 12.0, (1 0 4)
- 2θ 48.3, 1.883 Å, intensity 7.0, (1 0 7)
- 2θ 66.6, 1.404 Å, intensity 5.3, (0 1 14)
- 2θ 55.1, 1.666 Å, intensity 4.0, (1 0 10)
- 2θ 20.9, 4.259 Å, intensity 3.9, (0 0 6)

Crystal structure
abc: 2.5375 2.5375 25.5513
angles: 90.00 90.00 120.00
Space group R3m (No. 160, hexagonal axes)
Asymmetric unit:
B: 0.0000 0.0000 0.0000 (multiplicity 3)
C: 0.0000 0.0000 0.0632 (multiplicity 3)
C: 0.0000 0.0000 0.2462 (multiplicity 3)
C: 0.0000 0.0000 0.3051 (multiplicity 3)
C: 0.0000 0.0000 0.4169 (multiplicity 3)
C: 0.0000 0.0000 0.4776 (multiplicity 3)
C: 0.0000 0.0000 0.8312 (multiplicity 3)
C: 0.0000 0.0000 0.8916 (multiplicity 3)



This entry pairs a crystal structure of BC7 with its simulated powder XRD pattern. Radiation: Cu Kα X-rays. Structure: a DFT-relaxed cell (PBE, the Materials Project).
Kinematic intensities with the Lorentz-polarization factor, no thermal factor.

Principal peaks in the range 5° ≤ 2θ ≤ 70°, in order of falling intensity:
- 2θ 43.6, 2.077 Å, intensity 100.0, (1 0 1)
- 2θ 43.0, 2.104 Å, intensity 97.9, (0 2 1)
- 2θ 17.3, 5.122 Å, intensity 4.4, (0 1 0)
- 2θ 24.1, 3.690 Å, intensity 2.7, (0 0 1)
- 2θ 29.8, 2.994 Å, intensity 2.5, (0 1 1)
- 2θ 52.7, 1.736 Å, intensity 0.6, (0 1 2)
- 2θ 59.7, 1.550 Å, intensity 0.5, (0 3 1)

Crystal structure
abc: 2.513 5.122 3.690
angles: 90.00 90.00 90.00
Space group Pmm2 (No. 25)
Asymmetric unit:
B: 0.000 0.000 0.000 (multiplicity 1)
C: 0.000 0.259 0.759 (multiplicity 2)
C: 0.000 0.500 0.013 (multiplicity 1)
C: 0.500 0.000 0.296 (multiplicity 1)
C: 0.500 0.254 0.515 (multiplicity 2)
C: 0.500 0.500 0.255 (multiplicity 1)